For TcHg2Au, a structure optimized by DFT (PBE) gives the simulated PXRD pattern in this record (copper Kα).

The 8 most intense peaks (10 to 90 degrees two-theta), in order of falling intensity:
| (hkl) | d/Å | intensity |
| --- | --- | --- |
| 1 1 2 | 2.455 | 100 |
| 2 0 0 | 2.126 | 50 |
| 2 2 0 | 1.504 | 33 |
| 3 1 2 | 1.282 | 26 |
| 1 1 6 | 1.283 | 13 |
| 2 2 4 | 1.228 | 12 |
| 1 0 1 | 3.803 | 6 |
| 2 1 1 | 1.855 | 2 |

a = 4.250 Å, b = 4.250 Å, c = 8.515 Å
α = 90.00°, β = 90.00°, γ = 90.00°
Space group I-4m2 (No. 119)
Unique sites:
Tc (0.000, 0.000, 0.000) [2 per cell]
Hg (0.000, 0.000, 0.500) [2 per cell]
Hg (0.000, 0.500, 0.250) [2 per cell]
Au (0.000, 0.500, 0.750) [2 per cell]

For TcHgAu2, a structure optimized by DFT (PBE) gives the simulated PXRD pattern in this record (copper Kα).

The 8 most intense peaks (10 to 90 degrees two-theta), in order of falling intensity:
| (hkl) | d/Å | intensity |
| --- | --- | --- |
| 1 1 2 | 2.220 | 100 |
| 0 2 0 | 2.533 | 38 |
| 0 0 4 | 2.622 | 36 |
| 0 2 4 | 1.822 | 25 |
| 1 3 2 | 1.394 | 23 |
| 1 1 6 | 1.423 | 19 |
| 0 1 3 | 2.878 | 12 |
| 2 0 0 | 1.399 | 11 |

a = 2.799 Å, b = 5.066 Å, c = 10.490 Å
α = 90.00°, β = 90.00°, γ = 90.00°
Space group Immm (No. 71)
Unique sites:
Tc (0.000, 0.000, 0.000) [2 per cell]
Hg (0.000, 0.000, 0.500) [2 per cell]
Au (0.000, 0.500, 0.269) [4 per cell]

For HgTe2Au, a structure optimized by DFT (PBE) gives the simulated PXRD pattern in this record (copper Kα).

The 8 most intense peaks (10 to 90 degrees two-theta), in order of falling intensity:
| (hkl) | d/Å | intensity |
| --- | --- | --- |
| 0 2 2 | 3.016 | 100 |
| 2 2 2 | 2.112 | 74 |
| 2 0 0 | 2.958 | 49 |
| 2 4 4 | 1.344 | 23 |
| 2 0 4 | 1.736 | 21 |
| 0 0 4 | 2.143 | 20 |
| 2 4 0 | 1.725 | 18 |
| 0 4 0 | 2.123 | 17 |

a = 5.916 Å, b = 8.490 Å, c = 8.573 Å
α = 90.00°, β = 90.00°, γ = 90.00°
Space group Cmcm (No. 63)
Unique sites:
Hg (0.000, 0.238, 0.250) [4 per cell]
Te (0.000, 0.224, 0.750) [4 per cell]
Te (0.000, 0.500, 0.000) [4 per cell]
Au (0.000, 0.000, 0.000) [4 per cell]

For HgTe2Au, a structure optimized by DFT (PBE) gives the simulated PXRD pattern in this record (copper Kα).

The 8 most intense peaks (10 to 90 degrees two-theta), in order of falling intensity:
| (hkl) | d/Å | intensity |
| --- | --- | --- |
| 2 1 6 | 1.999 | 100 |
| 1 0 3 | 4.445 | 69 |
| 2 1 2 | 2.664 | 61 |
| 0 0 4 | 4.276 | 58 |
| 2 0 1 | 3.476 | 53 |
| 2 1 0 | 2.803 | 52 |
| 0 2 0 | 2.283 | 49 |
| 0 0 6 | 2.853 | 46 |

a = 7.101 Å, b = 4.567 Å, c = 17.103 Å
α = 90.00°, β = 90.00°, γ = 90.00°
Space group Pnma (No. 62)
Unique sites:
Hg (0.122, 0.250, 0.161) [4 per cell]
Te (0.087, 0.750, 0.256) [4 per cell]
Te (0.191, 0.250, 0.999) [4 per cell]
Au (0.109, 0.250, 0.500) [4 per cell]

For HgTe4Au2, a structure optimized by DFT (PBE) gives the simulated PXRD pattern in this record (copper Kα).

The 8 most intense peaks (10 to 90 degrees two-theta), in order of falling intensity:
| (hkl) | d/Å | intensity |
| --- | --- | --- |
| 4 0 4 | 2.227 | 100 |
| 3 1 1 | 3.378 | 69 |
| 1 1 5 | 2.849 | 42 |
| 0 0 4 | 3.830 | 41 |
| 4 0 0 | 2.738 | 39 |
| 1 1 3 | 4.263 | 37 |
| 4 4 0 | 1.936 | 35 |
| 8 4 4 | 1.166 | 25 |

a = 10.946 Å, b = 10.955 Å, c = 15.320 Å
α = 90.00°, β = 90.00°, γ = 90.00°
Space group Fddd (No. 70, origin choice 2)
Unique sites:
Hg (0.125, 0.125, 0.125) [8 per cell]
Te (0.005, 0.005, 0.733) [32 per cell]
Au (0.000, 0.000, 0.500) [16 per cell]

For Th4HgAu7, a structure optimized by DFT (PBE) gives the simulated PXRD pattern in this record (copper Kα).

The 8 most intense peaks (10 to 90 degrees two-theta), in order of falling intensity:
| (hkl) | d/Å | intensity |
| --- | --- | --- |
| 3 1 1 | 2.628 | 100 |
| 0 2 0 | 2.611 | 94 |
| 4 0 -3 | 2.974 | 68 |
| 1 1 -4 | 2.036 | 46 |
| 4 2 -3 | 1.962 | 43 |
| 0 0 3 | 2.717 | 29 |
| 5 1 -1 | 2.457 | 25 |
| 7 1 -2 | 1.909 | 25 |

a = 14.478 Å, b = 5.222 Å, c = 9.667 Å
α = 90.00°, β = 122.61°, γ = 90.00°
Space group C2/m (No. 12)
Unique sites:
Th (0.069, 0.000, 0.256) [4 per cell]
Th (0.229, 0.000, 0.784) [4 per cell]
Hg (0.000, 0.500, 0.500) [2 per cell]
Au (0.000, 0.000, 0.500) [2 per cell]
Au (0.090, 0.500, 0.857) [4 per cell]
Au (0.165, 0.000, 0.049) [4 per cell]
Au (0.186, 0.500, 0.439) [4 per cell]

> Number 3 is which compound?

HgTe2Au

Please write out number 6 again, unchanged.
For Th4HgAu7, a structure optimized by DFT (PBE) gives the simulated PXRD pattern in this record (copper Kα).

The 8 most intense peaks (10 to 90 degrees two-theta), in order of falling intensity:
| (hkl) | d/Å | intensity |
| --- | --- | --- |
| 3 1 1 | 2.628 | 100 |
| 0 2 0 | 2.611 | 94 |
| 4 0 -3 | 2.974 | 68 |
| 1 1 -4 | 2.036 | 46 |
| 4 2 -3 | 1.962 | 43 |
| 0 0 3 | 2.717 | 29 |
| 5 1 -1 | 2.457 | 25 |
| 7 1 -2 | 1.909 | 25 |

a = 14.478 Å, b = 5.222 Å, c = 9.667 Å
α = 90.00°, β = 122.61°, γ = 90.00°
Space group C2/m (No. 12)
Unique sites:
Th (0.069, 0.000, 0.256) [4 per cell]
Th (0.229, 0.000, 0.784) [4 per cell]
Hg (0.000, 0.500, 0.500) [2 per cell]
Au (0.000, 0.000, 0.500) [2 per cell]
Au (0.090, 0.500, 0.857) [4 per cell]
Au (0.165, 0.000, 0.049) [4 per cell]
Au (0.186, 0.500, 0.439) [4 per cell]